Structure and theoretical X-ray diffraction stick pattern of Ac2V2O7 (a crystal structure in Alexandria, relaxed with PBE+U; Cu Kα X-rays).
Lines closer than 0.1° are merged.

Top 10 peaks for 10° ≤ 2θ ≤ 80°, in order of rising 2θ:
17.31°, intensity 95
18.13°, intensity 40
24.36°, intensity 40
24.60°, intensity 78
25.74°, intensity 97
26.28°, intensity 100
29.29°, intensity 51
30.16°, intensity 70
31.93°, intensity 37
47.77°, intensity 43

Lattice parameters (Å, degrees): 5.232 6.131 6.374 103.20 99.24 94.84
Sites, in units of the cell vectors:
1 Ac 0.031 0.303 0.209
2 Ac 0.969 0.697 0.791
3 V 0.422 0.215 0.732
4 V 0.578 0.785 0.268
5 O 0.220 0.085 0.887
6 O 0.223 0.402 0.609
7 O 0.270 0.629 0.116
8 O 0.500 0.000 0.500
9 O 0.730 0.371 0.884
10 O 0.777 0.598 0.391
11 O 0.780 0.915 0.113

Structure and theoretical X-ray diffraction stick pattern of Ac3VO6 (a crystal structure in Alexandria, relaxed with PBE+U; Cu Kα X-rays).
Lines closer than 0.1° are merged.

Top 10 peaks for 10° ≤ 2θ ≤ 80°, in order of rising 2θ:
18.90°, intensity 24
27.69°, intensity 100
27.95°, intensity 36
28.25°, intensity 22
29.01°, intensity 17
30.10°, intensity 22
41.75°, intensity 25
42.29°, intensity 21
46.16°, intensity 18
54.09°, intensity 18

Lattice parameters (Å, degrees): 7.870 7.870 5.939 90.00 90.00 102.94
Sites, in units of the cell vectors:
1 Ac 0.105 0.895 0.500
2 Ac 0.197 0.413 0.534
3 Ac 0.413 0.197 0.034
4 Ac 0.587 0.803 0.534
5 Ac 0.803 0.587 0.034
6 Ac 0.895 0.105 0.000
7 V 0.308 0.692 0.073
8 V 0.692 0.308 0.573
9 O 0.090 0.611 0.238
10 O 0.148 0.170 0.270
11 O 0.170 0.148 0.770
12 O 0.287 0.713 0.747
13 O 0.389 0.910 0.238
14 O 0.450 0.550 0.212
15 O 0.550 0.450 0.712
16 O 0.611 0.090 0.738
17 O 0.713 0.287 0.247
18 O 0.830 0.852 0.270
19 O 0.852 0.830 0.770
20 O 0.910 0.389 0.738

Structure and theoretical X-ray diffraction stick pattern of Ac3VO7 (a crystal structure in Alexandria, relaxed with PBE+U; Cu Kα X-rays).
Lines closer than 0.1° are merged.

Top 10 peaks for 10° ≤ 2θ ≤ 80°, in order of rising 2θ:
13.63°, intensity 20
26.99°, intensity 100
27.41°, intensity 48
27.51°, intensity 47
31.29°, intensity 51
32.04°, intensity 23
44.22°, intensity 17
45.32°, intensity 26
45.45°, intensity 37
52.85°, intensity 30

Lattice parameters (Å, degrees): 6.854 8.192 6.879 90.00 108.90 90.00
Sites, in units of the cell vectors:
1 Ac 0.003 0.000 0.473
2 Ac 0.467 0.740 0.467
3 Ac 0.472 0.483 0.001
4 Ac 0.528 0.983 0.999
5 Ac 0.533 0.240 0.533
6 Ac 0.997 0.500 0.527
7 V 0.009 0.274 0.992
8 V 0.991 0.774 0.008
9 O 0.040 0.272 0.270
10 O 0.052 0.477 0.949
11 O 0.072 0.725 0.313
12 O 0.277 0.208 0.033
13 O 0.301 0.759 0.074
14 O 0.368 0.490 0.632
15 O 0.373 0.990 0.629
16 O 0.627 0.490 0.371
17 O 0.632 0.990 0.368
18 O 0.699 0.259 0.926
19 O 0.723 0.708 0.967
20 O 0.928 0.225 0.687
21 O 0.948 0.977 0.051
22 O 0.960 0.772 0.730

Structure and theoretical X-ray diffraction stick pattern of AcV3Zn4O12 (a crystal structure in Alexandria, relaxed with PBE+U; Cu Kα X-rays).
Lines closer than 0.1° are merged.

Top 10 peaks for 10° ≤ 2θ ≤ 80°, in order of rising 2θ:
16.31°, intensity 35
28.44°, intensity 17
32.96°, intensity 100
36.98°, intensity 20
44.08°, intensity 22
47.30°, intensity 22
58.85°, intensity 48
61.51°, intensity 10
69.12°, intensity 12
78.73°, intensity 17

Lattice parameters (Å, degrees): 6.657 6.657 6.657 109.47 109.47 109.47
Sites, in units of the cell vectors:
1 Ac 0.000 0.000 0.000
2 V 0.000 0.500 0.500
3 V 0.500 0.000 0.500
4 V 0.500 0.500 0.000
5 Zn 0.000 0.000 0.500
6 Zn 0.000 0.500 0.000
7 Zn 0.500 0.000 0.000
8 Zn 0.500 0.500 0.500
9 O 0.155 0.321 0.834
10 O 0.166 0.488 0.321
11 O 0.166 0.845 0.679
12 O 0.321 0.166 0.488
13 O 0.321 0.834 0.155
14 O 0.488 0.321 0.166
15 O 0.512 0.679 0.834
16 O 0.679 0.166 0.845
17 O 0.679 0.834 0.512
18 O 0.834 0.155 0.321
19 O 0.834 0.512 0.679
20 O 0.845 0.679 0.166

Structure and theoretical X-ray diffraction stick pattern of AcZr2VO8 (a crystal structure in Alexandria, relaxed with PBE+U; Cu Kα X-rays).
Lines closer than 0.1° are merged.

Top 10 peaks for 10° ≤ 2θ ≤ 80°, in order of rising 2θ:
13.12°, intensity 18
22.23°, intensity 40
24.77°, intensity 66
25.96°, intensity 58
32.07°, intensity 100
36.19°, intensity 28
48.44°, intensity 48
49.79°, intensity 38
62.46°, intensity 12
62.57°, intensity 12

Lattice parameters (Å, degrees): 4.965 6.749 4.975 90.00 92.63 90.00
Sites, in units of the cell vectors:
1 Ac 0.000 0.000 0.000
2 Zr 0.500 0.262 0.500
3 Zr 0.500 0.738 0.500
4 V 0.000 0.500 0.000
5 O 0.196 0.305 0.191
6 O 0.196 0.695 0.191
7 O 0.292 0.500 0.704
8 O 0.324 0.000 0.662
9 O 0.676 0.000 0.338
10 O 0.708 0.500 0.296
11 O 0.804 0.305 0.809
12 O 0.804 0.695 0.809

Structure and theoretical X-ray diffraction stick pattern of AcW4O12 (a crystal structure in Alexandria, relaxed with PBE+U; Cu Kα X-rays).
Lines closer than 0.1° are merged.

Top 10 peaks for 10° ≤ 2θ ≤ 80°, in order of rising 2θ:
15.92°, intensity 35
22.59°, intensity 53
27.76°, intensity 18
32.16°, intensity 100
42.99°, intensity 12
46.12°, intensity 31
51.94°, intensity 21
57.33°, intensity 41
67.27°, intensity 19
76.53°, intensity 18

Lattice parameters (Å, degrees): 6.818 6.818 6.818 109.47 109.47 109.47
Sites, in units of the cell vectors:
1 Ac 0.000 0.000 0.000
2 W 0.000 0.000 0.500
3 W 0.000 0.500 0.000
4 W 0.500 0.000 0.000
5 W 0.500 0.500 0.500
6 O 0.000 0.245 0.755
7 O 0.000 0.755 0.245
8 O 0.245 0.000 0.755
9 O 0.245 0.245 0.490
10 O 0.245 0.490 0.245
11 O 0.245 0.755 0.000
12 O 0.490 0.245 0.245
13 O 0.510 0.755 0.755
14 O 0.755 0.000 0.245
15 O 0.755 0.245 0.000
16 O 0.755 0.510 0.755
17 O 0.755 0.755 0.510

Structure and theoretical X-ray diffraction stick pattern of Ac2ZnWO6 (a crystal structure in Alexandria, relaxed with PBE+U; Cu Kα X-rays).
Lines closer than 0.1° are merged.

Top 10 peaks for 10° ≤ 2θ ≤ 80°, in order of rising 2θ:
30.12°, intensity 27
30.87°, intensity 100
31.27°, intensity 25
43.97°, intensity 28
44.46°, intensity 13
53.97°, intensity 22
54.64°, intensity 10
55.39°, intensity 30
64.32°, intensity 17
72.68°, intensity 9

Lattice parameters (Å, degrees): 5.796 5.796 5.796 120.85 118.42 90.64
Sites, in units of the cell vectors:
1 Ac 0.240 0.240 0.000
2 Ac 0.760 0.760 0.000
3 Zn 0.000 0.500 0.500
4 W 0.500 0.000 0.500
5 O 0.240 0.239 0.479
6 O 0.240 0.761 0.001
7 O 0.252 0.752 0.500
8 O 0.748 0.248 0.500
9 O 0.760 0.239 0.999
10 O 0.760 0.761 0.521